Record 1
This entry pairs a crystal structure of YHf2Os2 with its computed powder diffraction line list. Radiation: CuKα. Structure: a cell relaxed with PBE.
Lines closer than 0.1° are merged.

```
data_YHf2Os2
_cell_length_a 4.356
_cell_length_b 4.356
_cell_length_c 11.463
_cell_angle_alpha 90.00
_cell_angle_beta 90.00
_cell_angle_gamma 90.00
_symmetry_space_group_name_H-M 'I 4/m m m'
_symmetry_Int_Tables_number 139
_symmetry_space_group_name_Hall '-I 4 2'
loop_
_atom_site_label
_atom_site_fract_x
_atom_site_fract_y
_atom_site_fract_z
Y1 0.000 0.000 0.000
Hf1 0.000 0.500 0.250
Os1 0.000 0.000 0.390
```

Peak list (10 most intense, 2θ from 15° to 90°, sorted by position)
Position (°2θ), I (rel.), h k l
21.83, 40.2, 1 0 1
31.14, 34.3, 1 0 3
33.02, 100.0, 1 1 2
41.46, 68.5, 2 0 0
43.12, 68.9, 1 1 4
44.67, 32.8, 1 0 5
60.08, 23.1, 2 2 0
62.58, 24.2, 2 1 5
70.29, 22.6, 3 1 2
76.78, 26.0, 3 1 4



Record 2
This entry pairs a crystal structure of Hf3Zn2Os with its computed powder diffraction line list. Radiation: CuKα. Structure: a cell relaxed with PBE.
Lines closer than 0.1° are merged.

```
data_Hf3Zn2Os
_cell_length_a 4.6348
_cell_length_b 4.6348
_cell_length_c 5.7270
_cell_angle_alpha 90.00
_cell_angle_beta 90.00
_cell_angle_gamma 120.00
_symmetry_space_group_name_H-M 'P -3 m 1'
_symmetry_Int_Tables_number 164
_symmetry_space_group_name_Hall '-P 3 2"'
loop_
_atom_site_label
_atom_site_fract_x
_atom_site_fract_y
_atom_site_fract_z
Hf1 0.0000 0.0000 0.0000
Hf2 0.3333 0.6667 0.6656
Zn1 0.3333 0.6667 0.1702
Os1 0.0000 0.0000 0.5000
```

Peak list (10 most intense, 2θ from 15° to 90°, sorted by position)
Position (°2θ), I (rel.), h k l
22.15, 7.2, 1 0 0
27.13, 17.1, 1 0 1
38.62, 100.0, 0 1 2
38.86, 96.6, 1 1 0
55.95, 34.2, 2 0 2
69.73, 17.6, 1 0 4
70.21, 34.5, 1 2 2
70.37, 16.8, 3 0 0
82.82, 11.1, 0 2 4
83.42, 10.7, 2 2 0